Calculated X-ray diffraction stick pattern
Compound: NaLiMg6O7
Radiation: Cu Kα (weighted mean of Kα1 and Kα2)
Structure: a cell relaxed with PBE

Most intense lines, 5° ≤ 2θ ≤ 70°, in order of rising 2θ:
- d = 4.330 Å, 20.51°, I = 12.5
- d = 2.480 Å, 36.23°, I = 16.9
- d = 2.165 Å, 41.72°, I = 100.0
- d = 2.113 Å, 42.80°, I = 43.0
- d = 1.531 Å, 60.47°, I = 28.3
- d = 1.512 Å, 61.30°, I = 50.5

Cell and atoms:
```
NaLiMg6O7
1.0
4.330 0.000 0.000
0.000 4.330 0.000
0.000 0.000 8.452
Na Li Mg O
1 1 6 7
Direct
0.000 0.000 0.000 Na
0.000 0.000 0.469 Li
0.000 0.500 0.245 Mg
0.000 0.500 0.736 Mg
0.500 0.000 0.245 Mg
0.500 0.000 0.736 Mg
0.500 0.500 0.490 Mg
0.500 0.500 0.986 Mg
0.000 0.000 0.252 O
0.000 0.500 0.505 O
0.000 0.500 0.968 O
0.500 0.000 0.505 O
0.500 0.000 0.968 O
0.500 0.500 0.239 O
0.500 0.500 0.737 O
```



Calculated X-ray diffraction stick pattern
Compound: NaLiMg14O15
Radiation: Cu Kα (weighted mean of Kα1 and Kα2)
Structure: a cell relaxed with PBE

Most intense lines, 5° ≤ 2θ ≤ 70°, in order of rising 2θ:
- d = 2.167 Å, 41.68°, I = 99.7
- d = 2.134 Å, 42.36°, I = 100.0
- d = 2.123 Å, 42.58°, I = 95.7
- d = 1.520 Å, 60.94°, I = 54.7
- d = 1.516 Å, 61.11°, I = 52.8
- d = 1.505 Å, 61.62°, I = 54.2

Cell and atoms:
```
NaLiMg14O15
1.0
4.268 0.000 0.000
0.000 8.667 0.000
0.000 0.000 8.492
Na Li Mg O
1 1 14 15
Direct
0.000 0.000 0.000 Na
0.000 0.500 0.509 Li
0.000 0.000 0.522 Mg
0.000 0.253 0.756 Mg
0.000 0.277 0.256 Mg
0.000 0.500 0.001 Mg
0.000 0.723 0.256 Mg
0.000 0.747 0.756 Mg
0.500 0.000 0.253 Mg
0.500 0.000 0.762 Mg
0.500 0.250 0.006 Mg
0.500 0.256 0.504 Mg
0.500 0.500 0.259 Mg
0.500 0.500 0.748 Mg
0.500 0.744 0.504 Mg
0.500 0.750 0.006 Mg
0.000 0.000 0.748 O
0.000 0.232 0.492 O
0.000 0.260 0.012 O
0.000 0.500 0.252 O
0.000 0.500 0.757 O
0.000 0.740 0.012 O
0.000 0.768 0.492 O
0.500 0.000 0.020 O
0.500 0.000 0.490 O
0.500 0.241 0.255 O
0.500 0.247 0.754 O
0.500 0.500 0.008 O
0.500 0.500 0.502 O
0.500 0.753 0.754 O
0.500 0.759 0.255 O
```



Calculated X-ray diffraction stick pattern
Compound: NaLiMg14O15
Radiation: Cu Kα (weighted mean of Kα1 and Kα2)
Structure: a cell relaxed with PBE

Most intense lines, 5° ≤ 2θ ≤ 70°, in order of rising 2θ:
- d = 8.577 Å, 10.31°, I = 6.5
- d = 2.474 Å, 36.32°, I = 15.9
- d = 2.145 Å, 42.13°, I = 100.0
- d = 2.137 Å, 42.30°, I = 47.6
- d = 1.517 Å, 61.10°, I = 27.5
- d = 1.514 Å, 61.23°, I = 52.8

Cell and atoms:
```
NaLiMg14O15
1.0
4.286 0.000 0.000
0.000 8.588 0.000
0.000 0.000 8.546
Na Li Mg O
1 1 14 15
Direct
0.000 0.000 0.000 Na
0.000 0.500 0.018 Li
0.000 0.000 0.494 Mg
0.000 0.227 0.754 Mg
0.000 0.250 0.235 Mg
0.000 0.500 0.475 Mg
0.000 0.750 0.235 Mg
0.000 0.773 0.754 Mg
0.500 0.000 0.240 Mg
0.500 0.000 0.751 Mg
0.500 0.250 0.497 Mg
0.500 0.253 0.994 Mg
0.500 0.500 0.230 Mg
0.500 0.500 0.756 Mg
0.500 0.747 0.994 Mg
0.500 0.750 0.497 Mg
0.000 0.000 0.262 O
0.000 0.000 0.730 O
0.000 0.262 0.508 O
0.000 0.268 0.986 O
0.000 0.500 0.248 O
0.000 0.732 0.986 O
0.000 0.738 0.508 O
0.500 0.000 0.499 O
0.500 0.000 0.993 O
0.500 0.253 0.247 O
0.500 0.258 0.745 O
0.500 0.500 0.513 O
0.500 0.500 0.987 O
0.500 0.742 0.745 O
0.500 0.747 0.247 O
```



Calculated X-ray diffraction stick pattern
Compound: LiMg6Nb
Radiation: Cu Kα (weighted mean of Kα1 and Kα2)
Structure: a cell relaxed with PBE

Most intense lines, 5° ≤ 2θ ≤ 70°, in order of rising 2θ:
- d = 5.498 Å, 16.12°, I = 72.2
- d = 3.684 Å, 24.16°, I = 49.6
- d = 2.749 Å, 32.57°, I = 25.3
- d = 2.481 Å, 36.21°, I = 35.6
- d = 2.405 Å, 37.40°, I = 100.0
- d = 2.349 Å, 38.32°, I = 44.2

Cell and atoms:
```
LiMg6Nb
1.0
4.962 0.000 0.000
0.000 6.417 0.000
0.000 0.000 10.666
Li Mg Nb
2 12 2
Direct
0.000 0.000 0.000 Li
0.000 0.500 0.500 Li
0.000 0.245 0.246 Mg
0.000 0.255 0.746 Mg
0.000 0.745 0.746 Mg
0.000 0.755 0.246 Mg
0.500 0.000 0.337 Mg
0.500 0.000 0.832 Mg
0.500 0.244 0.575 Mg
0.500 0.256 0.075 Mg
0.500 0.500 0.332 Mg
0.500 0.500 0.837 Mg
0.500 0.744 0.075 Mg
0.500 0.756 0.575 Mg
0.000 0.000 0.500 Nb
0.000 0.500 0.000 Nb
```



Calculated X-ray diffraction stick pattern
Compound: LiMg6Nb
Radiation: Cu Kα (weighted mean of Kα1 and Kα2)
Structure: a cell relaxed with PBE

Most intense lines, 5° ≤ 2θ ≤ 70°, in order of rising 2θ:
- d = 5.408 Å, 16.39°, I = 64.0
- d = 3.662 Å, 24.31°, I = 50.6
- d = 2.698 Å, 33.21°, I = 29.7
- d = 2.490 Å, 36.07°, I = 36.2
- d = 2.381 Å, 37.78°, I = 47.1
- d = 2.372 Å, 37.93°, I = 100.0

Cell and atoms:
```
LiMg6Nb
1.0
4.981 0.000 0.000
0.000 6.220 0.000
0.000 0.000 10.844
Li Mg Nb
2 12 2
Direct
0.000 0.000 0.000 Li
0.000 0.500 0.500 Li
0.000 0.000 0.504 Mg
0.000 0.238 0.759 Mg
0.000 0.262 0.259 Mg
0.000 0.500 0.004 Mg
0.000 0.738 0.259 Mg
0.000 0.762 0.759 Mg
0.500 0.000 0.336 Mg
0.500 0.245 0.088 Mg
0.500 0.255 0.588 Mg
0.500 0.500 0.836 Mg
0.500 0.745 0.588 Mg
0.500 0.755 0.088 Mg
0.500 0.000 0.836 Nb
0.500 0.500 0.336 Nb
```



Calculated X-ray diffraction stick pattern
Compound: LiMg14Ni
Radiation: Cu Kα (weighted mean of Kα1 and Kα2)
Structure: a cell relaxed with PBE

Most intense lines, 5° ≤ 2θ ≤ 70°, in order of rising 2θ:
- d = 4.782 Å, 18.55°, I = 17.2
- d = 2.743 Å, 32.64°, I = 25.1
- d = 2.439 Å, 36.86°, I = 23.4
- d = 2.391 Å, 37.62°, I = 100.0
- d = 1.584 Å, 58.25°, I = 17.4
- d = 1.399 Å, 66.90°, I = 16.4

Cell and atoms:
```
LiMg14Ni
1.0
6.335 0.000 0.000
-3.168 5.487 0.000
0.000 0.000 9.754
Li Mg Ni
1 14 1
Direct
0.000 0.000 0.000 Li
0.003 0.501 0.000 Mg
0.160 0.319 0.258 Mg
0.160 0.319 0.742 Mg
0.160 0.840 0.258 Mg
0.160 0.840 0.742 Mg
0.499 0.501 0.000 Mg
0.499 0.997 0.000 Mg
0.501 0.003 0.500 Mg
0.501 0.499 0.500 Mg
0.667 0.333 0.247 Mg
0.667 0.333 0.753 Mg
0.681 0.840 0.258 Mg
0.681 0.840 0.742 Mg
0.997 0.499 0.500 Mg
0.000 0.000 0.500 Ni
```



Calculated X-ray diffraction stick pattern
Compound: LiMg6Ni
Radiation: Cu Kα (weighted mean of Kα1 and Kα2)
Structure: a cell relaxed with PBE

Most intense lines, 5° ≤ 2θ ≤ 70°, in order of rising 2θ:
- d = 3.625 Å, 24.56°, I = 19.8
- d = 2.657 Å, 33.73°, I = 22.2
- d = 2.478 Å, 36.25°, I = 36.3
- d = 2.342 Å, 38.44°, I = 100.0
- d = 2.302 Å, 39.14°, I = 37.7
- d = 1.403 Å, 66.66°, I = 19.5

Cell and atoms:
```
LiMg6Ni
1.0
4.956 0.000 0.000
0.000 6.183 0.000
0.000 0.000 10.395
Li Mg Ni
2 12 2
Direct
0.000 0.000 0.000 Li
0.000 0.500 0.500 Li
0.000 0.000 0.494 Mg
0.000 0.236 0.237 Mg
0.000 0.264 0.737 Mg
0.000 0.500 0.994 Mg
0.000 0.736 0.737 Mg
0.000 0.764 0.237 Mg
0.500 0.000 0.666 Mg
0.500 0.245 0.919 Mg
0.500 0.255 0.419 Mg
0.500 0.500 0.166 Mg
0.500 0.745 0.419 Mg
0.500 0.755 0.919 Mg
0.500 0.000 0.168 Ni
0.500 0.500 0.668 Ni
```



Calculated X-ray diffraction stick pattern
Compound: LiMg14Ni
Radiation: Cu Kα (weighted mean of Kα1 and Kα2)
Structure: a cell relaxed with PBE

Most intense lines, 5° ≤ 2θ ≤ 70°, in order of rising 2θ:
- d = 4.796 Å, 18.50°, I = 17.3
- d = 2.751 Å, 32.55°, I = 22.0
- d = 2.447 Å, 36.72°, I = 32.5
- d = 2.398 Å, 37.51°, I = 100.0
- d = 2.367 Å, 38.01°, I = 42.7
- d = 1.570 Å, 58.80°, I = 16.4

Cell and atoms:
```
LiMg14Ni
1.0
9.789 0.000 0.000
0.000 3.194 5.410
0.000 -3.194 5.410
Li Mg Ni
1 14 1
Direct
0.000 0.000 0.000 Li
0.000 0.485 0.992 Mg
0.000 0.992 0.485 Mg
0.229 0.182 0.665 Mg
0.229 0.665 0.182 Mg
0.239 0.663 0.663 Mg
0.254 0.167 0.167 Mg
0.500 0.498 0.498 Mg
0.500 0.504 0.998 Mg
0.500 0.996 0.996 Mg
0.500 0.998 0.504 Mg
0.746 0.167 0.167 Mg
0.761 0.663 0.663 Mg
0.771 0.182 0.665 Mg
0.771 0.665 0.182 Mg
0.000 0.503 0.503 Ni
```



Calculated X-ray diffraction stick pattern
Compound: LiMg6Ni
Radiation: Cu Kα (weighted mean of Kα1 and Kα2)
Structure: a cell relaxed with PBE

Most intense lines, 5° ≤ 2θ ≤ 70°, in order of rising 2θ:
- d = 5.369 Å, 16.51°, I = 45.2
- d = 3.606 Å, 24.69°, I = 26.9
- d = 2.685 Å, 33.38°, I = 24.2
- d = 2.434 Å, 36.93°, I = 36.8
- d = 2.351 Å, 38.29°, I = 100.0
- d = 2.309 Å, 39.01°, I = 45.9

Cell and atoms:
```
LiMg6Ni
1.0
4.868 0.000 0.000
0.000 6.250 0.000
0.000 0.000 10.489
Li Mg Ni
2 12 2
Direct
0.000 0.000 0.000 Li
0.000 0.500 0.500 Li
0.000 0.250 0.250 Mg
0.000 0.250 0.750 Mg
0.000 0.750 0.250 Mg
0.000 0.750 0.750 Mg
0.500 0.000 0.341 Mg
0.500 0.000 0.835 Mg
0.500 0.239 0.577 Mg
0.500 0.261 0.077 Mg
0.500 0.500 0.335 Mg
0.500 0.500 0.841 Mg
0.500 0.739 0.077 Mg
0.500 0.761 0.577 Mg
0.000 0.000 0.500 Ni
0.000 0.500 0.000 Ni
```



Calculated X-ray diffraction stick pattern
Compound: LiMg3O4
Radiation: Cu Kα (weighted mean of Kα1 and Kα2)
Structure: a cell relaxed with PBE

Most intense lines, 5° ≤ 2θ ≤ 70°, in order of rising 2θ:
- d = 4.229 Å, 21.00°, I = 13.7
- d = 2.991 Å, 29.88°, I = 11.1
- d = 2.115 Å, 42.76°, I = 100.0
- d = 1.891 Å, 48.11°, I = 5.6
- d = 1.727 Å, 53.04°, I = 4.1
- d = 1.495 Å, 62.07°, I = 55.2

Cell and atoms:
```
LiMg3O4
1.0
4.229 0.000 0.000
0.000 4.229 0.000
0.000 0.000 4.229
Li Mg O
1 3 4
Direct
0.000 0.000 0.000 Li
0.000 0.500 0.500 Mg
0.500 0.000 0.500 Mg
0.500 0.500 0.000 Mg
0.000 0.000 0.500 O
0.000 0.500 0.000 O
0.500 0.000 0.000 O
0.500 0.500 0.500 O
```



Copy entry 7 word for word.
Calculated X-ray diffraction stick pattern
Compound: LiMg6Ni
Radiation: Cu Kα (weighted mean of Kα1 and Kα2)
Structure: a cell relaxed with PBE

Most intense lines, 5° ≤ 2θ ≤ 70°, in order of rising 2θ:
- d = 3.625 Å, 24.56°, I = 19.8
- d = 2.657 Å, 33.73°, I = 22.2
- d = 2.478 Å, 36.25°, I = 36.3
- d = 2.342 Å, 38.44°, I = 100.0
- d = 2.302 Å, 39.14°, I = 37.7
- d = 1.403 Å, 66.66°, I = 19.5

Cell and atoms:
```
LiMg6Ni
1.0
4.956 0.000 0.000
0.000 6.183 0.000
0.000 0.000 10.395
Li Mg Ni
2 12 2
Direct
0.000 0.000 0.000 Li
0.000 0.500 0.500 Li
0.000 0.000 0.494 Mg
0.000 0.236 0.237 Mg
0.000 0.264 0.737 Mg
0.000 0.500 0.994 Mg
0.000 0.736 0.737 Mg
0.000 0.764 0.237 Mg
0.500 0.000 0.666 Mg
0.500 0.245 0.919 Mg
0.500 0.255 0.419 Mg
0.500 0.500 0.166 Mg
0.500 0.745 0.419 Mg
0.500 0.755 0.919 Mg
0.500 0.000 0.168 Ni
0.500 0.500 0.668 Ni
```



Repeat the ninth record exactly.
Calculated X-ray diffraction stick pattern
Compound: LiMg6Ni
Radiation: Cu Kα (weighted mean of Kα1 and Kα2)
Structure: a cell relaxed with PBE

Most intense lines, 5° ≤ 2θ ≤ 70°, in order of rising 2θ:
- d = 5.369 Å, 16.51°, I = 45.2
- d = 3.606 Å, 24.69°, I = 26.9
- d = 2.685 Å, 33.38°, I = 24.2
- d = 2.434 Å, 36.93°, I = 36.8
- d = 2.351 Å, 38.29°, I = 100.0
- d = 2.309 Å, 39.01°, I = 45.9

Cell and atoms:
```
LiMg6Ni
1.0
4.868 0.000 0.000
0.000 6.250 0.000
0.000 0.000 10.489
Li Mg Ni
2 12 2
Direct
0.000 0.000 0.000 Li
0.000 0.500 0.500 Li
0.000 0.250 0.250 Mg
0.000 0.250 0.750 Mg
0.000 0.750 0.250 Mg
0.000 0.750 0.750 Mg
0.500 0.000 0.341 Mg
0.500 0.000 0.835 Mg
0.500 0.239 0.577 Mg
0.500 0.261 0.077 Mg
0.500 0.500 0.335 Mg
0.500 0.500 0.841 Mg
0.500 0.739 0.077 Mg
0.500 0.761 0.577 Mg
0.000 0.000 0.500 Ni
0.000 0.500 0.000 Ni
```